Structure and computed powder diffraction line list of Pr4BBr3Cl2 (a structure optimized by DFT (GGA-PBE); copper Kα).

Cell and atoms:
Unit cell a=9.539 b=9.539 c=8.545 alpha=103.90 beta=103.90 gamma=24.70
Positions (direct):
Pr: 0.000 0.000 0.215
Pr: 0.000 0.000 0.785
Pr: 0.354 0.354 0.915
Pr: 0.646 0.646 0.085
B: 0.500 0.500 0.000
Br: 0.170 0.170 0.838
Br: 0.500 0.500 0.500
Br: 0.830 0.830 0.162
Cl: 0.160 0.160 0.324
Cl: 0.840 0.840 0.676

Peak list (12 most intense, 2θ = 15–90°, sorted by position)
- 2θ 27.10, 3.290 Å, I 13
- 2θ 29.67, 3.011 Å, I 46
- 2θ 29.92, 2.987 Å, I 17
- 2θ 30.29, 2.950 Å, I 100
- 2θ 32.89, 2.723 Å, I 18
- 2θ 33.12, 2.705 Å, I 13
- 2θ 42.31, 2.136 Å, I 17
- 2θ 42.65, 2.120 Å, I 29
- 2θ 43.18, 2.095 Å, I 32
- 2θ 44.41, 2.040 Å, I 18
- 2θ 54.33, 1.688 Å, I 21
- 2θ 63.02, 1.475 Å, I 17